Theoretical powder X-ray diffraction pattern
Compound: CaNdBr5
Radiation: CuKα
Structure: a DFT-relaxed cell (PBE, Alexandria)
Kinematic intensities with the Lorentz-polarization factor, no thermal factor.

Most intense lines, 2θ from 5° to 70°, in order of falling intensity:
two_theta  intensity
11.65  100
29.33  34
29.54  30
27.04  28
39.26  28
42.54  26
21.85  26
29.76  25
26.24  24
10.28  22

Structure:
```
CaNdBr5
1.0
8.632 0.000 0.000
0.000 4.251 0.000
-1.099 0.000 13.980
Ca Nd Br
2 2 10
Cartesian
0.599 1.063 1.864 Ca
6.935 3.188 12.116 Ca
3.188 3.188 4.848 Nd
4.346 1.063 9.132 Nd
0.328 3.188 4.331 Br
0.133 1.063 12.961 Br
2.240 1.063 6.751 Br
2.801 3.188 1.900 Br
2.527 3.188 9.877 Br
5.007 1.063 4.103 Br
4.732 1.063 12.080 Br
5.293 3.188 7.230 Br
7.400 3.188 1.019 Br
7.205 1.063 9.650 Br
```

---

Theoretical powder X-ray diffraction pattern
Compound: FeAs4Pd
Radiation: CuKα
Structure: a DFT-relaxed cell (PBE, Alexandria)
Kinematic intensities with the Lorentz-polarization factor, no thermal factor.

Most intense lines, 2θ from 5° to 70°, in order of falling intensity:
two_theta  intensity
36.65  100
33.65  94
34.05  83
34.49  81
50.66  81
30.00  80
30.45  74
50.08  72
36.35  67
37.41  49

Structure:
```
FeAs4Pd
1.0
5.879 0.000 0.000
0.000 5.956 0.000
-0.324 0.000 5.959
Fe As Pd
2 8 2
Cartesian
0.000 0.000 0.000 Fe
-0.162 2.978 2.979 Fe
0.272 0.812 3.826 As
0.434 2.166 0.847 As
1.967 3.677 3.600 As
2.128 5.257 0.621 As
3.428 0.699 5.338 As
3.589 2.279 2.359 As
5.122 3.789 5.112 As
5.284 5.144 2.133 As
2.778 0.000 2.979 Pd
2.940 2.978 0.000 Pd
```

---

Theoretical powder X-ray diffraction pattern
Compound: AcNp2AgO8
Radiation: CuKα
Structure: a DFT-relaxed cell (PBE, Alexandria)
Kinematic intensities with the Lorentz-polarization factor, no thermal factor.

Most intense lines, 2θ from 5° to 70°, in order of falling intensity:
two_theta  intensity
28.04  100
54.48  32
47.04  32
31.88  25
45.71  17
56.83  14
33.67  11
57.95  11
17.86  8
66.63  5

Structure:
```
AcNp2AgO8
1.0
-2.807 2.807 5.324
2.807 -2.807 5.324
2.807 2.807 -5.324
Ac Np Ag O
1 2 1 8
Cartesian
0.000 0.000 0.000 Ac
0.000 0.000 5.324 Np
0.000 2.807 2.662 Np
2.807 0.000 2.662 Ag
1.587 1.273 -1.521 O
3.977 1.505 -1.158 O
1.505 1.637 1.158 O
1.535 -1.220 6.846 O
-1.170 1.303 4.166 O
1.220 1.535 3.803 O
1.303 1.170 6.482 O
1.273 4.027 1.521 O
```